(1)
This entry pairs a crystal structure of Sm2InCu3 with its theoretical powder XRD pattern. Radiation: Cu Kα, 1.54184 Å. Structure: a PBE-relaxed structure.
No peak broadening, texture or thermal motion is included.

Atomic structure:
```
data_Sm2InCu3
_chemical_formula_sum 'Sm16 In8 Cu24'
_space_group_name_H-M_alt 'F m m m'
_space_group_IT_number 69
_space_group_name_Hall '-F 2 2'
_cell_length_a 7.245
_cell_length_b 8.980
_cell_length_c 15.725
_cell_angle_alpha 90.00
_cell_angle_beta 90.00
_cell_angle_gamma 90.00
loop_
_atom_site_label
_atom_site_fract_x
_atom_site_fract_y
_atom_site_fract_z
Sm1 0.237 0.000 0.000
Sm2 0.250 0.250 0.250
In1 0.000 0.000 0.335
Cu1 0.000 0.000 0.163
Cu2 0.000 0.243 0.080
```

The 6 most intense peaks (2θ from 5° to 70°), low angle first:
33.64 deg, rel. 51
33.78 deg, rel. 100
39.83 deg, rel. 58
40.17 deg, rel. 28
53.37 deg, rel. 27
66.07 deg, rel. 24

(2)
This entry pairs a crystal structure of SmIn6Cu6 with its theoretical powder XRD pattern. Radiation: Cu Kα, 1.54184 Å. Structure: a PBE-relaxed structure.
No peak broadening, texture or thermal motion is included.

Atomic structure:
```
data_SmIn6Cu6
_chemical_formula_sum 'Sm2 In12 Cu12'
_space_group_name_H-M_alt 'I m m m'
_space_group_IT_number 71
_space_group_name_Hall '-I 2 2'
_cell_length_a 5.497
_cell_length_b 9.254
_cell_length_c 9.296
_cell_angle_alpha 90.00
_cell_angle_beta 90.00
_cell_angle_gamma 90.00
loop_
_atom_site_label
_atom_site_fract_x
_atom_site_fract_y
_atom_site_fract_z
Sm1 0.000 0.000 0.000
In1 0.000 0.000 0.343
In2 0.000 0.338 0.000
In3 0.000 0.500 0.315
Cu1 0.000 0.264 0.500
Cu2 0.250 0.250 0.250
```

The 6 most intense peaks (2θ from 5° to 70°), low angle first:
32.58 deg, rel. 32
33.19 deg, rel. 58
38.06 deg, rel. 60
38.63 deg, rel. 100
38.93 deg, rel. 30
42.93 deg, rel. 44

(3)
This entry pairs a crystal structure of SmIn3Cu8 with its theoretical powder XRD pattern. Radiation: Cu Kα, 1.54184 Å. Structure: a PBE-relaxed structure.
No peak broadening, texture or thermal motion is included.

Atomic structure:
```
data_SmIn3Cu8
_chemical_formula_sum 'Sm3 In9 Cu24'
_space_group_name_H-M_alt 'R 3 m'
_space_group_IT_number 160
_space_group_name_Hall 'R 3 -2"'
_cell_length_a 5.0920
_cell_length_b 5.0920
_cell_length_c 25.4299
_cell_angle_alpha 90.00
_cell_angle_beta 90.00
_cell_angle_gamma 120.00
loop_
_atom_site_label
_atom_site_fract_x
_atom_site_fract_y
_atom_site_fract_z
Sm1 0.0000 0.0000 0.0000
In1 0.0000 0.0000 0.3786
In2 0.0000 0.0000 0.5001
In3 0.0000 0.0000 0.8746
Cu1 0.0000 0.0000 0.1873
Cu2 0.0000 0.0000 0.6885
Cu3 0.0025 0.5012 0.4393
Cu4 0.1674 0.3349 0.2688
```

The 6 most intense peaks (2θ from 5° to 70°), low angle first:
34.79 deg, rel. 52
35.25 deg, rel. 51
40.97 deg, rel. 56
41.37 deg, rel. 100
41.57 deg, rel. 52
43.44 deg, rel. 36